This entry pairs a crystal structure of La2Sb4Ir3Rh with its theoretical powder diffractogram. Radiation: λ = 1.5418 Å (Cu Kα). Structure: a crystal structure in Alexandria, relaxed with GGA-PBE.
No peak broadening, texture or thermal motion is included.

Cell and atoms:
```
data_La2Sb4Ir3Rh
_chemical_formula_sum 'La2 Sb4 Ir3 Rh1'
_cell_length_a 4.608
_cell_length_b 4.608
_cell_length_c 10.480
_cell_angle_alpha 90.00
_cell_angle_beta 90.00
_cell_angle_gamma 90.00
_space_group_name_H-M_alt 'P -4 m 2'
_space_group_IT_number 115
loop_
_space_group_symop_operation_xyz
'x,y,z'
'y,-x,-z'
'-x,-y,z'
'-y,x,-z'
'-x,y,z'
'-y,-x,-z'
'x,-y,z'
'y,x,-z'
loop_
_atom_site_label
_atom_site_type_symbol
_atom_site_fract_x
_atom_site_fract_y
_atom_site_fract_z
_atom_site_occupancy
La1 La 0.000 0.500 0.246 1
Sb1 Sb 0.000 0.000 0.500 1
Sb2 Sb 0.000 0.500 0.870 1
Sb3 Sb 0.500 0.500 0.500 1
Ir1 Ir 0.000 0.000 0.000 1
Ir2 Ir 0.000 0.500 0.622 1
Rh1 Rh 0.500 0.500 0.000 1
```

Main lines, in order of rising 2θ (2θ = 10–90°):
| h k l | 2theta | I_rel |
| --- | --- | --- |
| 1 0 3 | 32.15 | 78 |
| 1 1 2 | 32.36 | 100 |
| 2 0 0 | 39.10 | 93 |
| 1 1 4 | 44.37 | 49 |
| 1 0 5 | 47.66 | 26 |
| 2 1 3 | 51.49 | 42 |
| 2 2 0 | 56.49 | 32 |
| 3 1 2 | 66.62 | 25 |


This entry pairs a crystal structure of LaSn2IrRh2 with its theoretical powder diffractogram. Radiation: λ = 1.5418 Å (Cu Kα). Structure: a crystal structure in Alexandria, relaxed with GGA-PBE.
No peak broadening, texture or thermal motion is included.

Cell and atoms:
```
data_LaSn2IrRh2
_chemical_formula_sum 'La1 Sn2 Ir1 Rh2'
_cell_length_a 5.061
_cell_length_b 5.061
_cell_length_c 5.472
_cell_angle_alpha 90.00
_cell_angle_beta 90.00
_cell_angle_gamma 90.00
_space_group_name_H-M_alt 'P 4/m m m'
_space_group_IT_number 123
_space_group_name_Hall '-P 4 2'
loop_
_atom_site_label
_atom_site_type_symbol
_atom_site_fract_x
_atom_site_fract_y
_atom_site_fract_z
_atom_site_occupancy
La1 La 0.000 0.000 0.000 1
Sn1 Sn 0.000 0.500 0.500 1
Ir1 Ir 0.000 0.000 0.500 1
Rh1 Rh 0.500 0.500 0.243 1
```

Main lines, in order of rising 2θ (2θ = 10–90°):
| h k l | 2theta | I_rel |
| --- | --- | --- |
| 0 0 1 | 16.20 | 44 |
| 1 1 0 | 24.88 | 36 |
| 1 1 1 | 29.83 | 21 |
| 2 0 0 | 35.47 | 100 |
| 1 0 2 | 37.36 | 82 |
| 2 2 0 | 51.04 | 36 |
| 2 1 2 | 52.47 | 61 |
| 2 0 4 | 79.67 | 21 |


This entry pairs a crystal structure of LaIrRu with its theoretical powder diffractogram. Radiation: λ = 1.5418 Å (Cu Kα). Structure: a crystal structure in Alexandria, relaxed with GGA-PBE.
No peak broadening, texture or thermal motion is included.

Cell and atoms:
```
data_LaIrRu
_chemical_formula_sum 'La1 Ir1 Ru1'
_cell_length_a 4.2590
_cell_length_b 4.2590
_cell_length_c 4.3785
_cell_angle_alpha 90.00
_cell_angle_beta 90.00
_cell_angle_gamma 120.00
_space_group_name_H-M_alt 'P -6 m 2'
_space_group_IT_number 187
_space_group_name_Hall 'P -6 2'
loop_
_atom_site_label
_atom_site_type_symbol
_atom_site_fract_x
_atom_site_fract_y
_atom_site_fract_z
_atom_site_occupancy
La1 La 0.0000 0.0000 0.0000 1
Ir1 Ir 0.3333 0.6667 0.5000 1
Ru1 Ru 0.6667 0.3333 0.5000 1
```

Main lines, in order of rising 2θ (2θ = 10–90°):
| h k l | 2theta | I_rel |
| --- | --- | --- |
| 0 0 1 | 20.28 | 14 |
| 1 0 1 | 31.72 | 100 |
| 0 0 2 | 41.24 | 18 |
| 1 1 0 | 42.45 | 48 |
| 2 0 1 | 53.95 | 22 |
| 1 1 2 | 60.67 | 34 |
| 1 0 3 | 69.23 | 11 |
| 2 1 1 | 70.95 | 20 |


This entry pairs a crystal structure of La8Ir3Ru with its theoretical powder diffractogram. Radiation: λ = 1.5418 Å (Cu Kα). Structure: a crystal structure in Alexandria, relaxed with GGA-PBE.
No peak broadening, texture or thermal motion is included.

Cell and atoms:
```
data_La8Ir3Ru
_chemical_formula_sum 'La16 Ir6 Ru2'
_cell_length_a 17.508
_cell_length_b 5.762
_cell_length_c 9.221
_cell_angle_alpha 90.00
_cell_angle_beta 107.84
_cell_angle_gamma 90.00
_space_group_name_H-M_alt 'C 1 m 1'
_space_group_IT_number 8
loop_
_space_group_symop_operation_xyz
'x,y,z'
'x,-y,z'
'x+1/2,y+1/2,z'
'x+1/2,-y+1/2,z'
loop_
_atom_site_label
_atom_site_type_symbol
_atom_site_fract_x
_atom_site_fract_y
_atom_site_fract_z
_atom_site_occupancy
La1 La 0.000 0.000 0.000 1
La2 La 0.038 0.500 0.326 1
La3 La 0.100 0.000 0.664 1
La4 La 0.217 0.000 0.369 1
La5 La 0.282 0.500 0.702 1
La6 La 0.320 0.000 0.021 1
La7 La 0.388 0.500 0.351 1
La8 La 0.432 0.000 0.681 1
Ir1 Ir 0.051 0.000 0.323 1
Ir2 Ir 0.266 0.000 0.704 1
Ir3 Ir 0.373 0.000 0.334 1
Ru1 Ru 0.454 0.500 0.715 1
```

Main lines, in order of rising 2θ (2θ = 10–90°):
| h k l | 2theta | I_rel |
| --- | --- | --- |
| 0 0 1 | 10.08 | 35 |
| 2 0 0 | 10.62 | 24 |
| 1 1 0 | 16.28 | 47 |
| 0 0 2 | 20.23 | 19 |
| 6 0 -1 | 30.60 | 100 |
| 0 2 0 | 31.04 | 53 |
| 0 2 3 | 44.10 | 52 |
| 6 2 -1 | 44.18 | 38 |


This entry pairs a crystal structure of La8IrRu3 with its theoretical powder diffractogram. Radiation: λ = 1.5418 Å (Cu Kα). Structure: a crystal structure in Alexandria, relaxed with GGA-PBE.
No peak broadening, texture or thermal motion is included.

Cell and atoms:
```
data_La8IrRu3
_chemical_formula_sum 'La16 Ir2 Ru6'
_cell_length_a 17.305
_cell_length_b 5.681
_cell_length_c 9.164
_cell_angle_alpha 90.00
_cell_angle_beta 108.32
_cell_angle_gamma 90.00
_space_group_name_H-M_alt 'C 1 m 1'
_space_group_IT_number 8
loop_
_space_group_symop_operation_xyz
'x,y,z'
'x,-y,z'
'x+1/2,y+1/2,z'
'x+1/2,-y+1/2,z'
loop_
_atom_site_label
_atom_site_type_symbol
_atom_site_fract_x
_atom_site_fract_y
_atom_site_fract_z
_atom_site_occupancy
La1 La 0.000 0.000 0.000 1
La2 La 0.038 0.500 0.314 1
La3 La 0.102 0.000 0.651 1
La4 La 0.213 0.000 0.339 1
La5 La 0.274 0.500 0.682 1
La6 La 0.313 0.000 0.002 1
La7 La 0.382 0.500 0.328 1
La8 La 0.428 0.000 0.662 1
Ir1 Ir 0.444 0.500 0.681 1
Ru1 Ru 0.053 0.000 0.291 1
Ru2 Ru 0.258 0.000 0.698 1
Ru3 Ru 0.361 0.000 0.296 1
```

Main lines, in order of rising 2θ (2θ = 10–90°):
| h k l | 2theta | I_rel |
| --- | --- | --- |
| 1 1 0 | 16.51 | 65 |
| 0 0 3 | 30.84 | 92 |
| 6 0 -1 | 31.01 | 93 |
| 0 2 0 | 31.50 | 100 |
| 6 0 2 | 44.30 | 63 |
| 0 2 3 | 44.66 | 66 |
| 6 2 -1 | 44.78 | 67 |
| 6 2 2 | 55.36 | 64 |


This entry pairs a crystal structure of La8Ir2Ru3 with its theoretical powder diffractogram. Radiation: λ = 1.5418 Å (Cu Kα). Structure: a crystal structure in Alexandria, relaxed with GGA-PBE.
No peak broadening, texture or thermal motion is included.

Cell and atoms:
```
data_La8Ir2Ru3
_chemical_formula_sum 'La16 Ir4 Ru6'
_cell_length_a 12.955
_cell_length_b 8.499
_cell_length_c 7.123
_cell_angle_alpha 90.00
_cell_angle_beta 90.18
_cell_angle_gamma 90.00
_space_group_name_H-M_alt 'C 1 2/m 1'
_space_group_IT_number 12
loop_
_space_group_symop_operation_xyz
'x,y,z'
'-x,-y,-z'
'-x,y,-z'
'x,-y,z'
'x+1/2,y+1/2,z'
'-x+1/2,-y+1/2,-z'
'-x+1/2,y+1/2,-z'
'x+1/2,-y+1/2,z'
loop_
_atom_site_label
_atom_site_type_symbol
_atom_site_fract_x
_atom_site_fract_y
_atom_site_fract_z
_atom_site_occupancy
La1 La 0.113 0.000 0.332 1
La2 La 0.120 0.500 0.339 1
La3 La 0.127 0.251 0.835 1
Ir1 Ir 0.245 0.000 0.996 1
Ru1 Ru 0.000 0.000 0.000 1
Ru2 Ru 0.000 0.268 0.500 1
```

Main lines, in order of rising 2θ (2θ = 10–90°):
| h k l | 2theta | I_rel |
| --- | --- | --- |
| 2 0 -1 | 18.51 | 41 |
| 2 2 1 | 28.07 | 100 |
| 2 0 -2 | 28.59 | 49 |
| 4 2 -1 | 37.11 | 81 |
| 4 0 2 | 37.60 | 21 |
| 0 4 0 | 42.55 | 28 |
| 0 2 3 | 43.67 | 53 |
| 4 4 2 | 58.02 | 22 |


This entry pairs a crystal structure of LaIr2Ru with its theoretical powder diffractogram. Radiation: λ = 1.5418 Å (Cu Kα). Structure: a crystal structure in Alexandria, relaxed with GGA-PBE.
No peak broadening, texture or thermal motion is included.

Cell and atoms:
```
data_LaIr2Ru
_chemical_formula_sum 'La2 Ir4 Ru2'
_cell_length_a 5.807
_cell_length_b 8.132
_cell_length_c 2.966
_cell_angle_alpha 90.00
_cell_angle_beta 90.00
_cell_angle_gamma 90.00
_space_group_name_H-M_alt 'C m m m'
_space_group_IT_number 65
_space_group_name_Hall '-C 2 2'
loop_
_atom_site_label
_atom_site_type_symbol
_atom_site_fract_x
_atom_site_fract_y
_atom_site_fract_z
_atom_site_occupancy
La1 La 0.000 0.000 0.000 1
Ir1 Ir 0.250 0.250 0.500 1
Ru1 Ru 0.000 0.500 0.000 1
```

Main lines, in order of rising 2θ (2θ = 10–90°):
| h k l | 2theta | I_rel |
| --- | --- | --- |
| 0 2 1 | 37.53 | 100 |
| 2 2 0 | 38.09 | 96 |
| 2 0 1 | 43.62 | 66 |
| 0 4 0 | 44.57 | 31 |
| 4 0 0 | 64.14 | 52 |
| 2 2 2 | 75.72 | 26 |
| 4 2 1 | 76.77 | 25 |
| 0 6 1 | 77.41 | 12 |


This entry pairs a crystal structure of LaThIrS with its theoretical powder diffractogram. Radiation: λ = 1.5418 Å (Cu Kα). Structure: a crystal structure in Alexandria, relaxed with GGA-PBE.
No peak broadening, texture or thermal motion is included.

Cell and atoms:
```
data_LaThIrS
_chemical_formula_sum 'La3 Th3 Ir3 S3'
_cell_length_a 4.0692
_cell_length_b 4.0692
_cell_length_c 22.2972
_cell_angle_alpha 90.00
_cell_angle_beta 90.00
_cell_angle_gamma 120.00
_space_group_name_H-M_alt 'R 3 m'
_space_group_IT_number 160
_space_group_name_Hall 'R 3 -2"'
loop_
_atom_site_label
_atom_site_type_symbol
_atom_site_fract_x
_atom_site_fract_y
_atom_site_fract_z
_atom_site_occupancy
La1 La 0.0000 0.0000 0.0000 1
Th1 Th 0.0000 0.0000 0.1832 1
Ir1 Ir 0.0000 0.0000 0.5865 1
S1 S 0.0000 0.0000 0.7622 1
```

Main lines, in order of rising 2θ (2θ = 10–90°):
| h k l | 2theta | I_rel |
| --- | --- | --- |
| 0 0 3 | 11.91 | 58 |
| 0 1 2 | 26.53 | 58 |
| 0 1 5 | 32.38 | 100 |
| 1 0 7 | 38.08 | 38 |
| 1 1 0 | 44.53 | 45 |
| 1 0 10 | 48.30 | 27 |
| 2 0 5 | 56.12 | 21 |
| 1 1 12 | 68.37 | 19 |


This entry pairs a crystal structure of La6SbIr3 with its theoretical powder diffractogram. Radiation: λ = 1.5418 Å (Cu Kα). Structure: a crystal structure in Alexandria, relaxed with GGA-PBE.
No peak broadening, texture or thermal motion is included.

Cell and atoms:
```
data_La6SbIr3
_chemical_formula_sum 'La12 Sb2 Ir6'
_cell_length_a 12.034
_cell_length_b 4.319
_cell_length_c 12.378
_cell_angle_alpha 90.00
_cell_angle_beta 107.53
_cell_angle_gamma 90.00
_space_group_name_H-M_alt 'P 1 21/m 1'
_space_group_IT_number 11
loop_
_space_group_symop_operation_xyz
'x,y,z'
'-x,-y,-z'
'-x,y+1/2,-z'
'x,-y+1/2,z'
loop_
_atom_site_label
_atom_site_type_symbol
_atom_site_fract_x
_atom_site_fract_y
_atom_site_fract_z
_atom_site_occupancy
La1 La 0.030 0.250 0.393 1
La2 La 0.107 0.250 0.946 1
La3 La 0.211 0.750 0.262 1
La4 La 0.287 0.750 0.766 1
La5 La 0.359 0.250 0.540 1
La6 La 0.420 0.750 0.088 1
Sb1 Sb 0.446 0.250 0.309 1
Ir1 Ir 0.045 0.250 0.165 1
Ir2 Ir 0.183 0.750 0.497 1
Ir3 Ir 0.344 0.250 0.918 1
```

Main lines, in order of rising 2θ (2θ = 10–90°):
| h k l | 2theta | I_rel |
| --- | --- | --- |
| 2 0 -1 | 15.00 | 56 |
| 2 1 1 | 28.23 | 100 |
| 2 0 -4 | 29.58 | 82 |
| 3 1 0 | 31.24 | 75 |
| 4 1 0 | 37.64 | 53 |
| 4 1 -3 | 38.87 | 71 |
| 0 2 0 | 41.83 | 83 |
| 5 0 1 | 42.30 | 54 |


This entry pairs a crystal structure of La8Sb2Ir with its theoretical powder diffractogram. Radiation: λ = 1.5418 Å (Cu Kα). Structure: a crystal structure in Alexandria, relaxed with GGA-PBE.
No peak broadening, texture or thermal motion is included.

Cell and atoms:
```
data_La8Sb2Ir
_chemical_formula_sum 'La16 Sb4 Ir2'
_cell_length_a 19.172
_cell_length_b 4.642
_cell_length_c 8.317
_cell_angle_alpha 90.00
_cell_angle_beta 98.43
_cell_angle_gamma 90.00
_space_group_name_H-M_alt 'C 1 2/m 1'
_space_group_IT_number 12
loop_
_space_group_symop_operation_xyz
'x,y,z'
'-x,-y,-z'
'-x,y,-z'
'x,-y,z'
'x+1/2,y+1/2,z'
'-x+1/2,-y+1/2,-z'
'-x+1/2,y+1/2,-z'
'x+1/2,-y+1/2,z'
loop_
_atom_site_label
_atom_site_type_symbol
_atom_site_fract_x
_atom_site_fract_y
_atom_site_fract_z
_atom_site_occupancy
La1 La 0.004 0.000 0.286 1
La2 La 0.093 0.500 0.007 1
La3 La 0.149 0.500 0.523 1
La4 La 0.212 0.000 0.857 1
Sb1 Sb 0.182 0.000 0.256 1
Ir1 Ir 0.000 0.500 0.500 1
```

Main lines, in order of rising 2θ (2θ = 10–90°):
| h k l | 2theta | I_rel |
| --- | --- | --- |
| 6 0 -1 | 28.73 | 18 |
| 1 1 -2 | 28.87 | 100 |
| 1 1 2 | 29.91 | 18 |
| 5 1 0 | 30.43 | 35 |
| 4 0 2 | 30.82 | 15 |
| 5 1 1 | 33.54 | 24 |
| 0 2 0 | 38.80 | 32 |
| 7 1 3 | 54.69 | 15 |


This entry pairs a crystal structure of La2ZrSb3Ir4 with its theoretical powder diffractogram. Radiation: λ = 1.5418 Å (Cu Kα). Structure: a crystal structure in Alexandria, relaxed with GGA-PBE.
No peak broadening, texture or thermal motion is included.

Cell and atoms:
```
data_La2ZrSb3Ir4
_chemical_formula_sum 'La2 Zr1 Sb3 Ir4'
_cell_length_a 4.389
_cell_length_b 4.389
_cell_length_c 11.434
_cell_angle_alpha 90.00
_cell_angle_beta 90.00
_cell_angle_gamma 90.00
_space_group_name_H-M_alt 'P -4 m 2'
_space_group_IT_number 115
loop_
_space_group_symop_operation_xyz
'x,y,z'
'y,-x,-z'
'-x,-y,z'
'-y,x,-z'
'-x,y,z'
'-y,-x,-z'
'x,-y,z'
'y,x,-z'
loop_
_atom_site_label
_atom_site_type_symbol
_atom_site_fract_x
_atom_site_fract_y
_atom_site_fract_z
_atom_site_occupancy
La1 La 0.000 0.500 0.239 1
Zr1 Zr 0.000 0.000 0.500 1
Sb1 Sb 0.000 0.500 0.866 1
Sb2 Sb 0.500 0.500 0.500 1
Ir1 Ir 0.000 0.000 0.000 1
Ir2 Ir 0.000 0.500 0.638 1
Ir3 Ir 0.500 0.500 0.000 1
```

Main lines, in order of rising 2θ (2θ = 10–90°):
| h k l | 2theta | I_rel |
| --- | --- | --- |
| 1 0 3 | 31.08 | 46 |
| 1 1 2 | 32.84 | 100 |
| 2 0 0 | 41.13 | 66 |
| 1 1 4 | 43.02 | 45 |
| 1 0 5 | 44.68 | 32 |
| 2 2 0 | 59.58 | 22 |
| 2 1 5 | 62.34 | 23 |
| 3 1 2 | 69.72 | 23 |


This entry pairs a crystal structure of LaSi3Ir6 with its theoretical powder diffractogram. Radiation: λ = 1.5418 Å (Cu Kα). Structure: a crystal structure in Alexandria, relaxed with GGA-PBE.
No peak broadening, texture or thermal motion is included.

Cell and atoms:
```
data_LaSi3Ir6
_chemical_formula_sum 'La1 Si3 Ir6'
_cell_length_a 5.561
_cell_length_b 5.562
_cell_length_c 6.838
_cell_angle_alpha 113.97
_cell_angle_beta 90.02
_cell_angle_gamma 119.98
_space_group_name_H-M_alt 'P 1'
_space_group_IT_number 1
loop_
_space_group_symop_operation_xyz
'x,y,z'
loop_
_atom_site_label
_atom_site_type_symbol
_atom_site_fract_x
_atom_site_fract_y
_atom_site_fract_z
_atom_site_occupancy
La1 La 0.000 0.000 0.000 1
Si1 Si 0.294 0.587 0.883 1
Si2 Si 0.629 0.257 0.884 1
Si3 Si 0.836 0.670 0.506 1
Ir1 Ir 0.067 0.633 0.191 1
Ir2 Ir 0.304 0.725 0.587 1
Ir3 Ir 0.421 0.283 0.586 1
Ir4 Ir 0.557 0.623 0.190 1
Ir5 Ir 0.566 0.123 0.189 1
Ir6 Ir 0.863 0.166 0.586 1
```

Main lines, in order of rising 2θ (2θ = 10–90°):
| h k l | 2theta | I_rel |
| --- | --- | --- |
| 0 1 -2 | 27.02 | 26 |
| 0 0 2 | 29.59 | 47 |
| 1 -1 2 | 30.88 | 28 |
| -2 1 1 | 35.54 | 40 |
| 2 -2 1 | 37.68 | 100 |
| 2 0 -2 | 42.51 | 54 |
| 2 0 1 | 45.21 | 70 |
| 4 -2 0 | 67.34 | 24 |


This entry pairs a crystal structure of LaSi2Ir2 with its theoretical powder diffractogram. Radiation: λ = 1.5418 Å (Cu Kα). Structure: a crystal structure in Alexandria, relaxed with GGA-PBE.
No peak broadening, texture or thermal motion is included.

Cell and atoms:
```
data_LaSi2Ir2
_chemical_formula_sum 'La2 Si4 Ir4'
_cell_length_a 4.142
_cell_length_b 4.142
_cell_length_c 10.346
_cell_angle_alpha 90.00
_cell_angle_beta 90.00
_cell_angle_gamma 90.00
_space_group_name_H-M_alt 'I 4/m m m'
_space_group_IT_number 139
_space_group_name_Hall '-I 4 2'
loop_
_atom_site_label
_atom_site_type_symbol
_atom_site_fract_x
_atom_site_fract_y
_atom_site_fract_z
_atom_site_occupancy
La1 La 0.000 0.000 0.000 1
Si1 Si 0.000 0.000 0.373 1
Ir1 Ir 0.000 0.500 0.250 1
```

Main lines, in order of rising 2θ (2θ = 10–90°):
| h k l | 2theta | I_rel |
| --- | --- | --- |
| 0 0 2 | 17.14 | 32 |
| 0 0 4 | 34.68 | 21 |
| 1 1 2 | 35.22 | 100 |
| 2 0 0 | 43.71 | 34 |
| 1 1 4 | 46.86 | 15 |
| 2 0 4 | 56.97 | 20 |
| 1 1 6 | 62.51 | 20 |
| 3 1 2 | 74.77 | 23 |


This entry pairs a crystal structure of LaSiIr2 with its theoretical powder diffractogram. Radiation: λ = 1.5418 Å (Cu Kα). Structure: a crystal structure in Alexandria, relaxed with GGA-PBE.
No peak broadening, texture or thermal motion is included.

Cell and atoms:
```
data_LaSiIr2
_chemical_formula_sum 'La2 Si2 Ir4'
_cell_length_a 7.164
_cell_length_b 4.124
_cell_length_c 5.875
_cell_angle_alpha 90.00
_cell_angle_beta 113.64
_cell_angle_gamma 90.00
_space_group_name_H-M_alt 'C 1 2/m 1'
_space_group_IT_number 12
loop_
_space_group_symop_operation_xyz
'x,y,z'
'-x,-y,-z'
'-x,y,-z'
'x,-y,z'
'x+1/2,y+1/2,z'
'-x+1/2,-y+1/2,-z'
'-x+1/2,y+1/2,-z'
'x+1/2,-y+1/2,z'
loop_
_atom_site_label
_atom_site_type_symbol
_atom_site_fract_x
_atom_site_fract_y
_atom_site_fract_z
_atom_site_occupancy
La1 La 0.000 0.000 0.000 1
Si1 Si 0.000 0.500 0.500 1
Ir1 Ir 0.208 0.000 0.625 1
```

Main lines, in order of rising 2θ (2θ = 10–90°):
| h k l | 2theta | I_rel |
| --- | --- | --- |
| 0 0 1 | 16.47 | 44 |
| 1 1 0 | 25.51 | 77 |
| 1 1 1 | 33.44 | 77 |
| 2 0 -2 | 33.55 | 39 |
| 2 0 1 | 37.38 | 51 |
| 1 1 -2 | 37.60 | 100 |
| 3 1 -1 | 43.81 | 86 |
| 0 2 0 | 43.91 | 43 |